Record 1
Structure and simulated X-ray diffraction stick pattern of Hf3Ti2Pb5O15 (DFT lattice parameters and positions (PBE); a wavelength of 1.5418 Å).
No peak broadening, texture or thermal motion is included.

Structural model:
a b c (Å): 17.446 5.796 7.105
angles (deg): 90.00 104.67 90.00
Space group Cm (No. 8)
Unique sites:
Hf: 0.000 0.000 0.000
Hf: 0.102 0.500 0.397
Hf: 0.398 0.000 0.596
Ti: 0.197 0.000 0.785
Ti: 0.296 0.500 0.188
Pb: 0.085 0.500 0.873
Pb: 0.190 0.000 0.261
Pb: 0.287 0.500 0.677
Pb: 0.378 0.000 0.077
Pb: 0.477 0.500 0.469
O: 0.009 0.500 0.519
O: 0.064 0.241 0.208
O: 0.115 0.000 0.917
O: 0.163 0.252 0.621
O: 0.213 0.500 0.321
O: 0.260 0.249 0.018
O: 0.306 0.000 0.728
O: 0.358 0.262 0.404
O: 0.406 0.500 0.117
O: 0.461 0.243 0.805

The 12 most intense peaks (2θ from 10° to 80°), in order of rising 2θ:
2theta, intensity
30.5, 50
30.6, 98
30.9, 51
31.0, 100
43.9, 51
44.3, 26
54.1, 19
54.7, 40
54.9, 21
55.0, 19
64.5, 17
72.8, 18



Record 2
Structure and simulated X-ray diffraction stick pattern of Li3Bi2P3O12 (DFT lattice parameters and positions (PBE); a wavelength of 1.5418 Å).
No peak broadening, texture or thermal motion is included.

Structural model:
a b c (Å): 8.9282 8.9282 24.8504
angles (deg): 90.00 90.00 120.00
Space group R-3 (No. 148, hexagonal axes)
Unique sites:
Li: 0.0197 0.7118 0.0451
Bi: 0.0000 0.0000 0.1523
Bi: 0.0000 0.0000 0.3446
P: 0.0028 0.3075 0.7452
O: 0.0204 0.2152 0.7946
O: 0.0478 0.4849 0.3628
O: 0.0820 0.5252 0.0615
O: 0.0835 0.5036 0.7557

The 12 most intense peaks (2θ from 10° to 80°), in order of rising 2θ:
2theta, intensity
13.5, 52
18.3, 87
19.9, 73
27.2, 38
29.4, 100
33.9, 35
34.8, 37
41.3, 23
43.3, 23
46.2, 27
48.1, 27
59.1, 26



Record 3
Structure and simulated X-ray diffraction stick pattern of GdInCu4 (DFT lattice parameters and positions (PBE); a wavelength of 1.5418 Å).
No peak broadening, texture or thermal motion is included.

Structural model:
a b c (Å): 7.273 7.273 7.273
angles (deg): 90.00 90.00 90.00
Space group F-43m (No. 216)
Unique sites:
Gd: 0.000 0.000 0.000
In: 0.250 0.250 0.750
Cu: 0.125 0.125 0.375

The 11 most intense peaks (2θ from 10° to 80°), in order of rising 2θ:
2theta, intensity
21.2, 6
24.5, 1
34.9, 53
41.2, 100
43.1, 21
55.0, 2
56.6, 1
62.6, 19
66.8, 30
73.7, 23
77.7, 1



Record 4
Structure and simulated X-ray diffraction stick pattern of Y4Ga12Pd (DFT lattice parameters and positions (PBE); a wavelength of 1.5418 Å).
No peak broadening, texture or thermal motion is included.

Structural model:
a b c (Å): 8.665 8.665 8.665
angles (deg): 90.00 90.00 90.00
Space group Im-3m (No. 229)
Unique sites:
Y: 0.250 0.250 0.250
Ga: 0.000 0.000 0.297
Ga: 0.000 0.250 0.500
Pd: 0.000 0.000 0.000

The 12 most intense peaks (2θ from 10° to 80°), in order of rising 2θ:
2theta, intensity
29.1, 12
32.7, 11
35.9, 100
38.9, 18
41.7, 69
44.4, 9
49.3, 14
60.4, 39
68.5, 5
72.3, 27
74.2, 8
76.1, 11



Q: Which formula does entry 4 have?
A: Y4Ga12Pd